Record 1
This entry pairs a crystal structure of EuSnF7 with its calculated powder XRD pattern. Radiation: Cu Kα, 1.54184 Å. Structure: the PBE geometry in the Materials Project.
Neutral-atom scattering factors, no anomalous dispersion.

Most intense lines, 10 to 80 degrees two-theta, most intense first:
index  two_theta  d [Å]  I_rel
1 1 -2  21.39  4.154  1000
2 0 0  21.86  4.065  397
1 1 2  28.24  3.160  314
2 1 -2  25.54  3.487  198
2 1 -6  46.97  1.935  159
1 2 -4  43.25  2.092  153
0 2 0  31.10  2.875  152
2 1 0  26.86  3.319  132

Structural model:
```
data_EuSnF7
_symmetry_space_group_name_H-M 'P 1 21/c 1'
_symmetry_Int_Tables_number 14
_cell_length_a 9.1958
_cell_length_b 5.7507
_cell_length_c 12.3294
_cell_angle_alpha 90.00
_cell_angle_beta 117.86
_cell_angle_gamma 90.00
loop_
_symmetry_equiv_pos_as_xyz
'x,y,z'
'-x,-y,-z'
'-x,y+1/2,-z+1/2'
'x,-y+1/2,z+1/2'
loop_
_atom_site_label
_atom_site_fract_x
_atom_site_fract_y
_atom_site_fract_z
Eu1 0.1879 0.2416 0.2648
Sn1 0.2738 0.7435 0.0434
F1 0.0285 0.7406 0.9466
F2 0.0312 0.5855 0.7333
F3 0.2561 0.5458 0.1710
F4 0.2699 0.0201 0.1405
F5 0.2815 0.0462 0.4550
F6 0.2897 0.5504 0.4189
F7 0.4819 0.2303 0.3601
```

---

Record 2
This entry pairs a crystal structure of Hg4AsI5 with its calculated powder XRD pattern. Radiation: Cu Kα, 1.54184 Å. Structure: the PBE geometry in the Materials Project.
Neutral-atom scattering factors, no anomalous dispersion.

Most intense lines, 10 to 80 degrees two-theta, most intense first:
index  two_theta  d [Å]  I_rel
1 3 4  28.50  3.132  1000
2 2 3  24.04  3.701  621
3 1 4  28.64  3.117  437
3 1 3  26.18  3.403  431
3 1 5  31.53  2.837  334
5 3 4  46.13  1.968  296
4 2 1  32.55  2.751  265
1 3 8  41.95  2.154  242

Structural model:
```
data_Hg4AsI5
_symmetry_space_group_name_H-M 'C m c e'
_symmetry_Int_Tables_number 64
_symmetry_space_group_name_Hall '-C 2ac 2'
_cell_length_a 12.3895
_cell_length_b 12.5102
_cell_length_c 20.5506
_cell_angle_alpha 90.00
_cell_angle_beta 90.00
_cell_angle_gamma 90.00
loop_
_atom_site_label
_atom_site_fract_x
_atom_site_fract_y
_atom_site_fract_z
Hg1 0.0000 0.0531 0.1707
Hg2 0.0000 0.2345 0.3291
Hg3 0.1614 0.1043 0.6722
As1 0.0000 0.1060 0.7505
I1 0.0000 0.0727 0.4163
I2 0.0000 0.2127 0.0825
I3 0.1798 0.1110 0.9174
I4 0.2500 0.1402 0.2500
```

---

Record 3
This entry pairs a crystal structure of NdTe2Se with its calculated powder XRD pattern. Radiation: Cu Kα, 1.54184 Å. Structure: the PBE geometry in the Materials Project.
Neutral-atom scattering factors, no anomalous dispersion.

Most intense lines, 10 to 80 degrees two-theta, most intense first:
index  two_theta  d [Å]  I_rel
1 3 1  31.07  2.879  1000
0 8 0  26.92  3.312  367
1 7 1  37.92  2.373  354
1 5 1  33.96  2.640  317
2 8 0  50.56  1.805  256
0 0 2  41.91  2.156  214
2 0 0  42.01  2.150  212
0 4 0  13.37  6.624  150

Structural model:
```
data_NdTe2Se
_symmetry_space_group_name_H-M 'C m c m'
_symmetry_Int_Tables_number 63
_symmetry_space_group_name_Hall '-C 2c 2'
_cell_length_a 4.3010
_cell_length_b 26.4959
_cell_length_c 4.3114
_cell_angle_alpha 90.00
_cell_angle_beta 90.00
_cell_angle_gamma 90.00
loop_
_atom_site_label
_atom_site_fract_x
_atom_site_fract_y
_atom_site_fract_z
Nd1 0.0000 0.1802 0.2500
Te1 0.0000 0.0800 0.7500
Te2 0.0000 0.4200 0.7500
Se1 0.0000 0.2938 0.2500
```

---

Record 4
This entry pairs a crystal structure of CaH8Cl2O4 with its calculated powder XRD pattern. Radiation: Cu Kα, 1.54184 Å. Structure: the PBE geometry in the Materials Project.
Neutral-atom scattering factors, no anomalous dispersion.

Most intense lines, 10 to 80 degrees two-theta, most intense first:
index  two_theta  d [Å]  I_rel
1 0 -3  32.84  2.727  1000
0 2 -2  34.63  2.590  788
1 2 1  40.76  2.214  715
2 0 0  30.07  2.972  683
-1 1 1  19.20  4.623  660
-2 2 1  34.82  2.576  639
1 0 3  37.40  2.405  586
2 -1 0  28.31  3.153  559

Structural model:
```
data_CaH8Cl2O4
_symmetry_space_group_name_H-M 'P -1'
_symmetry_Int_Tables_number 2
_cell_length_a 6.4271
_cell_length_b 6.5156
_cell_length_c 8.5920
_cell_angle_alpha 92.39
_cell_angle_beta 97.86
_cell_angle_gamma 110.41
loop_
_symmetry_equiv_pos_as_xyz
'x,y,z'
'-x,-y,-z'
loop_
_atom_site_label
_atom_site_fract_x
_atom_site_fract_y
_atom_site_fract_z
Ca1 0.0116 0.3770 0.2440
H1 0.1886 0.8261 0.4230
H2 0.2314 0.2770 0.9785
H3 0.2430 0.0981 0.0960
H4 0.2980 0.0375 0.6651
H5 0.2982 0.3995 0.6807
H6 0.3484 0.7066 0.4900
H7 0.4068 0.0462 0.8412
H8 0.4415 0.5778 0.8229
Cl1 0.2287 0.7576 0.0791
Cl2 0.2958 0.2094 0.4547
O1 0.1869 0.6817 0.4542
O2 0.2605 0.2553 0.0911
O3 0.2695 0.9706 0.7651
O4 0.2867 0.4772 0.7784
```

---

Record 5
This entry pairs a crystal structure of Sm2Ti2O5 with its calculated powder XRD pattern. Radiation: Cu Kα, 1.54184 Å. Structure: the PBE geometry in the Materials Project.
Neutral-atom scattering factors, no anomalous dispersion.

Most intense lines, 10 to 80 degrees two-theta, most intense first:
index  two_theta  d [Å]  I_rel
1 4 1  32.62  2.745  1000
0 4 0  22.91  3.881  456
2 0 2  46.82  1.941  386
2 0 0  33.17  2.701  273
0 0 2  32.10  2.788  240
1 4 3  57.56  1.601  194
3 4 1  58.91  1.568  183
2 4 0  40.69  2.217  155

Structural model:
```
data_Sm2Ti2O5
_symmetry_space_group_name_H-M 'I m m a'
_symmetry_Int_Tables_number 74
_symmetry_space_group_name_Hall '-I 2b 2'
_cell_length_a 5.4020
_cell_length_b 15.5354
_cell_length_c 5.5762
_cell_angle_alpha 90.00
_cell_angle_beta 90.00
_cell_angle_gamma 90.00
loop_
_atom_site_label
_atom_site_fract_x
_atom_site_fract_y
_atom_site_fract_z
Sm1 0.0000 0.1347 0.0183
Ti1 0.0000 0.0000 0.5000
Ti2 0.0000 0.2500 0.5492
O1 0.0000 0.1253 0.5957
O2 0.2500 0.0334 0.2500
O3 0.2500 0.2500 0.2500
```